1.
# Dy3Y3Th4
Computed X-ray diffraction stick pattern, CuKα. Input: a DFT-relaxed cell (GGA-PBE, Alexandria).
No peak broadening, texture or thermal motion is included.

Principal peaks in the range 10° ≤ 2θ ≤ 90°, sorted by position:
21.59 deg, I 137, (0 3 1); 22.65 deg, I 173, (1 0 0); 29.92 deg, I 115, (1 2 2); 30.72 deg, I 576, (0 4 2); 31.49 deg, I 1000, (1 1 3); 38.51 deg, I 205, (1 4 2); 42.23 deg, I 146, (1 5 1); 46.25 deg, I 122, (2 0 0); 56.54 deg, I 256, (0 8 0); 58.94 deg, I 216, (1 7 3)

Structural model:
Cell lengths 3.9260, 13.0284, 13.0012 Å; angles 90.00, 90.00, 90.00 degrees
Space group Amm2 (No. 38)
Unique sites:
Dy  0.0000  0.0000  0.0000 (multiplicity 2)
Dy  0.5000  0.2495  0.4131 (multiplicity 4)
Y  0.0000  0.0000  0.3270 (multiplicity 2)
Y  0.0000  0.1641  0.6642 (multiplicity 4)
Th  0.5000  0.0000  0.5315 (multiplicity 2)
Th  0.5000  0.0000  0.7980 (multiplicity 2)
Th  0.5000  0.1320  0.1615 (multiplicity 4)

2.
# ErMg2Hg
Computed X-ray diffraction stick pattern, CuKα. Input: a DFT-relaxed cell (GGA-PBE, Alexandria).
No peak broadening, texture or thermal motion is included.

Principal peaks in the range 10° ≤ 2θ ≤ 90°, sorted by position:
18.29 deg, I 637, (0 0 1); 28.57 deg, I 446, (1 1 0); 34.13 deg, I 1000, (1 1 1); 37.06 deg, I 200, (0 0 2); 40.85 deg, I 306, (2 0 0); 45.09 deg, I 265, (2 0 1); 47.45 deg, I 229, (1 1 2); 56.33 deg, I 240, (2 0 2); 64.93 deg, I 157, (1 1 3); 70.08 deg, I 250, (3 1 1)

Structural model:
Cell lengths 4.4185, 4.4185, 4.8516 Å; angles 90.00, 90.00, 90.00 degrees
Space group P4/mmm (No. 123)
Unique sites:
Er  0.0000  0.0000  0.0000 (multiplicity 1)
Mg  0.0000  0.5000  0.5000 (multiplicity 2)
Hg  0.5000  0.5000  0.0000 (multiplicity 1)

3.
# Pm3Ga2Ge2
Computed X-ray diffraction stick pattern, CuKα. Input: a DFT-relaxed cell (GGA-PBE, Alexandria).
No peak broadening, texture or thermal motion is included.

Principal peaks in the range 10° ≤ 2θ ≤ 90°, sorted by position:
28.81 deg, I 187, (0 0 6); 31.39 deg, I 1000, (1 1 2); 31.51 deg, I 485, (0 1 5); 35.67 deg, I 241, (1 1 4); 40.49 deg, I 270, (1 0 7); 41.07 deg, I 274, (0 2 0); 41.96 deg, I 189, (1 1 6); 44.29 deg, I 220, (2 0 0); 55.37 deg, I 196, (2 1 5); 59.05 deg, I 192, (1 2 7)

Structural model:
Cell lengths 4.0899, 4.3956, 18.5943 Å; angles 90.00, 90.00, 90.00 degrees
Space group Immm (No. 71)
Unique sites:
Pm  0.0000  0.0000  0.0000 (multiplicity 2)
Pm  0.0000  0.5000  0.3158 (multiplicity 4)
Ga  0.0000  0.0000  0.4341 (multiplicity 4)
Ge  0.0000  0.5000  0.1482 (multiplicity 4)

4.
# Sc3Si
Computed X-ray diffraction stick pattern, CuKα. Input: a DFT-relaxed cell (GGA-PBE, Alexandria).
No peak broadening, texture or thermal motion is included.

Principal peaks in the range 10° ≤ 2θ ≤ 90°, sorted by position:
32.30 deg, I 241, (1 0 1); 32.91 deg, I 139, (0 0 2); 37.72 deg, I 1000, (1 1 1); 38.25 deg, I 424, (0 1 2); 38.44 deg, I 309, (0 2 0); 51.06 deg, I 118, (1 2 1); 58.39 deg, I 145, (1 0 3); 69.05 deg, I 152, (1 3 1); 70.93 deg, I 118, (2 1 2); 72.09 deg, I 148, (1 2 3)

Structural model:
Cell lengths 3.2200, 4.6839, 5.4424 Å; angles 90.00, 90.00, 90.00 degrees
Space group Pmm2 (No. 25)
Unique sites:
Sc  0.0000  0.0000  0.0000 (multiplicity 1)
Sc  0.0000  0.5000  0.3715 (multiplicity 1)
Sc  0.5000  0.0000  0.5425 (multiplicity 1)
Si  0.5000  0.5000  0.8478 (multiplicity 1)

5.
# BC3
Computed X-ray diffraction stick pattern, CuKα. Input: a DFT-relaxed cell (GGA-PBE, Alexandria).
No peak broadening, texture or thermal motion is included.

Principal peaks in the range 10° ≤ 2θ ≤ 90°, sorted by position:
15.33 deg, I 163, (0 2 0); 30.95 deg, I 30, (0 4 0); 42.53 deg, I 1000, (1 3 -1); 42.81 deg, I 1000, (1 3 1); 71.92 deg, I 528, (2 6 0); 74.46 deg, I 125, (2 0 -2); 75.23 deg, I 122, (2 0 2); 84.48 deg, I 83, (1 9 -1); 84.67 deg, I 76, (1 9 1); 89.91 deg, I 160, (3 3 -1)

Structural model:
Cell lengths 3.5872, 11.5575, 3.5897 Å; angles 90.00, 90.50, 90.00 degrees
Space group C2 (No. 5)
Unique sites:
B  0.0000  0.0000  0.0000 (multiplicity 2)
B  0.0000  0.1684  0.5000 (multiplicity 2)
B  0.0000  0.5007  0.5000 (multiplicity 2)
C  0.0000  0.3313  0.0000 (multiplicity 2)
C  0.0000  0.6695  0.0000 (multiplicity 2)
C  0.0000  0.8306  0.5000 (multiplicity 2)
C  0.2429  0.5935  0.7577 (multiplicity 4)
C  0.2450  0.7526  0.2450 (multiplicity 4)
C  0.2484  0.4058  0.2529 (multiplicity 4)

6.
# CdHg2
Computed X-ray diffraction stick pattern, CuKα. Input: a DFT-relaxed cell (GGA-PBE, Alexandria).
No peak broadening, texture or thermal motion is included.

Principal peaks in the range 10° ≤ 2θ ≤ 90°, sorted by position:
31.72 deg, I 1000, (1 1 1); 32.67 deg, I 254, (2 1 0); 34.11 deg, I 354, (2 0 1); 37.19 deg, I 552, (3 0 0); 40.52 deg, I 119, (2 1 1); 47.66 deg, I 142, (0 0 2); 49.67 deg, I 155, (2 2 1); 60.72 deg, I 230, (3 2 1); 61.95 deg, I 249, (3 0 2); 69.30 deg, I 100, (5 0 1)

Structural model:
Cell lengths 8.3750, 8.3750, 3.8162 Å; angles 90.00, 90.00, 120.00 degrees
Space group P-62m (No. 189)
Unique sites:
Cd  0.0000  0.0000  0.0000 (multiplicity 1)
Cd  0.3333  0.6667  0.5000 (multiplicity 2)
Hg  0.0000  0.2854  0.5000 (multiplicity 3)
Hg  0.0000  0.6183  0.0000 (multiplicity 3)